1.
Starting from a crystal structure in the Materials Project, relaxed with PBE, the powder diffraction line list of AlC3N3Cl6 was simulated for λ = 1.5418 Å (Cu Kα).
Neutral-atom scattering factors, no anomalous dispersion.

```
AlC3N3Cl6
1.0
7.4590 0.0000 0.0000
0.4844 9.9211 0.0000
0.0284 4.7885 15.7236
Al C N Cl
4 12 12 24
direct
0.0521 0.1739 0.0863
0.4463 0.8298 0.6478
0.5537 0.1702 0.3522
0.9479 0.8261 0.9137
0.0013 0.2966 0.8947
0.2382 0.3248 0.5613
0.2394 0.2996 0.4299
0.2623 0.6831 0.1742
0.2619 0.7021 0.0350
0.4980 0.7047 0.4989
0.5020 0.2953 0.5011
0.7381 0.2979 0.9650
0.7377 0.3169 0.8258
0.7606 0.7004 0.5701
0.7618 0.6752 0.4387
0.9987 0.7034 0.1053
0.0804 0.7328 0.0279
0.0836 0.6813 0.1789
0.1442 0.3267 0.4918
0.3575 0.6799 0.1056
0.4179 0.3225 0.5659
0.4206 0.2666 0.4341
0.5794 0.7334 0.5659
0.5821 0.6775 0.4341
0.6425 0.3201 0.8944
0.8558 0.6733 0.5082
0.9164 0.3187 0.8211
0.9196 0.2672 0.9721
0.1224 0.3309 0.6488
0.1226 0.9601 0.8277
0.1314 0.3121 0.3378
0.1350 0.3551 0.1192
0.2254 0.3122 0.8916
0.2338 0.9662 0.5756
0.2673 0.0395 0.0626
0.2720 0.6961 0.4997
0.3627 0.6481 0.7423
0.3693 0.6867 0.9476
0.3746 0.0369 0.3158
0.3781 0.6840 0.2626
0.6219 0.3160 0.7374
0.6254 0.9631 0.6842
0.6307 0.3133 0.0524
0.6373 0.3519 0.2577
0.7280 0.3039 0.5003
0.7327 0.9605 0.9374
0.7662 0.0338 0.4244
0.7746 0.6878 0.1084
0.8650 0.6449 0.8808
0.8686 0.6879 0.6622
0.8774 0.0399 0.1723
0.8776 0.6691 0.3512
```

Most intense lines, 2θ = 15–90°, by angle:
2θ = 18.7°, I 54, (0 2 0)
2θ = 25.2°, I 32, (2 1 0)
2θ = 25.8°, I 30, (1 0 4)
2θ = 26.1°, I 28, (2 -1 0)
2θ = 27.3°, I 32, (1 2 4)
2θ = 27.9°, I 55, (-1 2 4)
2θ = 28.2°, I 100, (0 3 0)
2θ = 29.2°, I 53, (1 1 -4)


2.
Starting from a crystal structure in the Materials Project, relaxed with PBE, the powder diffraction line list of AlC5NCl was simulated for λ = 1.5418 Å (Cu Kα).
Neutral-atom scattering factors, no anomalous dispersion.

```
AlC5NCl
1.0
6.1375 0.0000 0.0000
0.0000 8.3694 0.0000
-2.3050 0.0000 6.0066
Al C N Cl
2 10 2 2
direct
0.1031 0.2500 0.3015
0.8969 0.7500 0.6985
0.2169 0.6651 0.8308
0.2169 0.8349 0.8308
0.3890 0.2500 0.2281
0.4022 0.6499 0.7298
0.4022 0.8501 0.7298
0.5978 0.1499 0.2702
0.5978 0.3501 0.2702
0.6110 0.7500 0.7719
0.7831 0.1651 0.1692
0.7831 0.3349 0.1692
0.3814 0.7500 0.5380
0.6186 0.2500 0.4620
0.2116 0.2500 0.6562
0.7884 0.7500 0.3438
```

Most intense lines, 2θ = 15–90°, by angle:
2θ = 17.1°, I 24, (1 0 -1)
2θ = 18.2°, I 59, (0 1 1)
2θ = 21.2°, I 100, (0 2 0)
2θ = 25.9°, I 13, (0 2 1)
2θ = 29.7°, I 15, (0 0 2)
2θ = 31.3°, I 28, (2 1 -1)
2θ = 33.0°, I 17, (2 1 0)
2θ = 35.8°, I 11, (1 3 0)


3.
Starting from a crystal structure in the Materials Project, relaxed with PBE, the powder diffraction line list of AlC5NCl was simulated for λ = 1.5418 Å (Cu Kα).
Neutral-atom scattering factors, no anomalous dispersion.

```
AlC5NCl
1.0
5.9903 0.0000 0.0000
0.0000 11.3280 0.0000
-1.7799 0.0000 6.1757
Al C N Cl
2 10 2 2
direct
0.0574 0.2500 0.3705
0.9426 0.7500 0.6295
0.1365 0.6047 0.7215
0.1365 0.8953 0.7215
0.3335 0.6493 0.7512
0.3335 0.8507 0.7512
0.4824 0.7500 0.7568
0.5176 0.2500 0.2432
0.6665 0.1493 0.2488
0.6665 0.3507 0.2488
0.8635 0.1047 0.2785
0.8635 0.3953 0.2785
0.3082 0.2500 0.2500
0.6918 0.7500 0.7500
0.1870 0.2500 0.7128
0.8130 0.7500 0.2872
```

Most intense lines, 2θ = 15–90°, by angle:
2θ = 15.6°, I 100, (0 2 0)
2θ = 16.3°, I 45, (0 1 1)
2θ = 17.3°, I 14, (1 1 0)
2θ = 17.9°, I 50, (1 0 -1)
2θ = 23.9°, I 13, (1 2 -1)
2θ = 28.3°, I 31, (1 3 0)
2θ = 28.9°, I 26, (0 0 2)
2θ = 33.0°, I 12, (0 2 2)


4.
Starting from a crystal structure in the Materials Project, relaxed with PBE, the powder diffraction line list of AlC3NCl3 was simulated for λ = 1.5418 Å (Cu Kα).
Neutral-atom scattering factors, no anomalous dispersion.

```
AlC3NCl3
1.0
6.7487 0.0000 0.0000
0.0000 10.9744 0.0000
-2.0815 0.0000 7.5375
Al C N Cl
2 6 2 6
direct
0.0517 0.2500 0.2867
0.9483 0.7500 0.7133
0.3904 0.1325 0.7761
0.3904 0.3675 0.7761
0.4948 0.7500 0.2026
0.5052 0.2500 0.7974
0.6096 0.6325 0.2239
0.6096 0.8675 0.2239
0.2895 0.2500 0.7587
0.7105 0.7500 0.2413
0.1998 0.0886 0.2571
0.1998 0.4114 0.2571
0.2306 0.7500 0.6536
0.7694 0.2500 0.3464
0.8002 0.5886 0.7429
0.8002 0.9114 0.7429
```

Most intense lines, 2θ = 15–90°, by angle:
2θ = 16.2°, I 40, (0 2 0)
2θ = 17.4°, I 45, (1 1 -1)
2θ = 21.8°, I 79, (1 1 1)
2θ = 22.4°, I 59, (1 2 -1)
2θ = 23.6°, I 100, (0 0 2)
2θ = 25.0°, I 28, (0 1 2)
2θ = 26.8°, I 30, (2 0 -1)
2θ = 28.0°, I 50, (1 3 0)